Structure and calculated powder diffraction line list of Np3Ga6Au5 (a PBE-relaxed structure; Cu Kα).
Kinematic intensities with the Lorentz-polarization factor, no thermal factor.

Most intense lines, 10 to 80 degrees two-theta, by angle:
- (0 4 2), 2θ 33.47, rel. 42.4
- (1 3 2), 2θ 34.33, rel. 100.0
- (1 0 3), 2θ 35.01, rel. 70.0
- (2 0 0), 2θ 39.41, rel. 54.7
- (1 1 4), 2θ 44.27, rel. 27.4
- (1 7 4), 2θ 67.43, rel. 30.8

Structural model:
```
Np3Ga6Au5
1.0
4.5733 0.0000 0.0000
0.0000 13.1023 0.0000
0.0000 0.0000 9.2952
Np Ga Au
6 12 10
Direct
0.2500 0.0426 0.2483 Np
0.2500 0.4574 0.2483 Np
0.2500 0.7500 0.2472 Np
0.7500 0.2500 0.7528 Np
0.7500 0.5426 0.7517 Np
0.7500 0.9574 0.7517 Np
0.2500 0.0931 0.8911 Ga
0.2500 0.2500 0.0810 Ga
0.2500 0.2500 0.4273 Ga
0.2500 0.4069 0.8911 Ga
0.2500 0.6001 0.5307 Ga
0.2500 0.8999 0.5307 Ga
0.7500 0.1001 0.4693 Ga
0.7500 0.3999 0.4693 Ga
0.7500 0.5931 0.1089 Ga
0.7500 0.7500 0.5727 Ga
0.7500 0.7500 0.9190 Ga
0.7500 0.9069 0.1089 Ga
0.2500 0.0996 0.6140 Au
0.2500 0.4004 0.6140 Au
0.2500 0.6099 0.9717 Au
0.2500 0.7500 0.7289 Au
0.2500 0.8901 0.9717 Au
0.7500 0.1099 0.0283 Au
0.7500 0.2500 0.2711 Au
0.7500 0.3901 0.0283 Au
0.7500 0.5996 0.3860 Au
0.7500 0.9004 0.3860 Au
```